This entry pairs a crystal structure of Ni2Bi2Pb with its calculated X-ray diffraction stick pattern. Radiation: Cu Kα, 1.54184 Å. Structure: a DFT-relaxed cell (GGA-PBE, Alexandria).
Intensities are scaled so that the largest is 100.

Largest 6 diffraction maxima, in order of rising 2θ, 10 to 90 degrees two-theta:
30.45°, d = 2.935 Å, intensity 99
30.69°, d = 2.913 Å, intensity 100
30.92°, d = 2.892 Å, intensity 94
31.86°, d = 2.809 Å, intensity 40
46.15°, d = 1.967 Å, intensity 92
56.46°, d = 1.630 Å, intensity 35

Structural model:
```
data_Ni2Bi2Pb
_cell_length_a 6.813
_cell_length_b 6.814
_cell_length_c 6.826
_cell_angle_alpha 60.99
_cell_angle_beta 60.10
_cell_angle_gamma 60.02
_space_group_name_H-M_alt 'P -1'
_space_group_IT_number 2
loop_
_space_group_symop_operation_xyz
'x,y,z'
'-x,-y,-z'
loop_
_atom_site_label
_atom_site_fract_x
_atom_site_fract_y
_atom_site_fract_z
Ni1 0.170 0.167 0.485
Ni2 0.322 0.333 0.015
Bi1 0.099 0.403 0.746
Bi2 0.253 0.903 0.245
Pb1 0.397 0.751 0.751
```